No. 1
Starting from a DFT-relaxed cell (GGA-PBE, the Materials Project), the X-ray powder pattern of MgAgH4WS4N was calculated for Cu Ka.

Peak list (8 most intense, 5 to 70 degrees two-theta, by angle)
16.27 deg, I = 90
16.42 deg, I = 88
17.45 deg, I = 35
23.20 deg, I = 81
31.09 deg, I = 100
35.32 deg, I = 65
45.91 deg, I = 48
46.09 deg, I = 48

abc: 10.7976 6.7859 7.6618
angles: 90.00 134.69 90.00
Space group C2 (No. 5)
Unique sites:
Mg: 0.0000 0.0000 0.0000
Ag: 0.0000 0.7574 0.5000
H: 0.0509 0.4139 0.1541
H: 0.1040 0.5751 0.0516
W: 0.0000 0.2569 0.5000
S: 0.1294 0.0512 0.8296
S: 0.2018 0.4633 0.5731
N: 0.0000 0.4947 0.0000


No. 2
Starting from a DFT-relaxed cell (GGA-PBE, the Materials Project), the X-ray powder pattern of AgMoH4S4N was calculated for Cu Ka.

Peak list (8 most intense, 5 to 70 degrees two-theta, by angle)
15.17 deg, I = 100
21.51 deg, I = 30
28.55 deg, I = 21
30.61 deg, I = 17
34.19 deg, I = 22
37.60 deg, I = 22
46.54 deg, I = 33
49.33 deg, I = 14

abc: 8.2609 8.2609 5.8694
angles: 90.00 90.00 90.00
Space group I-4 (No. 82)
Unique sites:
Ag: 0.0000 0.0000 0.0000
Mo: 0.0000 0.0000 0.5000
H: 0.0328 0.5983 0.3501
S: 0.1157 0.1947 0.7052
N: 0.0000 0.5000 0.2500


No. 3
Starting from a DFT-relaxed cell (GGA-PBE, the Materials Project), the X-ray powder pattern of Ag2H6PdS2N2O6 was calculated for Cu Ka.

Peak list (8 most intense, 5 to 70 degrees two-theta, by angle)
17.33 deg, I = 54
18.03 deg, I = 100
22.99 deg, I = 35
29.00 deg, I = 85
30.22 deg, I = 28
32.90 deg, I = 74
33.45 deg, I = 29
40.35 deg, I = 58

abc: 7.2961 5.9223 10.7692
angles: 90.00 108.39 90.00
Space group P2_1/c (No. 14)
Unique sites:
Ag: 0.0581 0.2379 0.3512
H: 0.3066 0.0554 0.6685
H: 0.3495 0.1933 0.1123
H: 0.4764 0.6730 0.7722
Pd: 0.5000 0.0000 0.5000
S: 0.2533 0.7350 0.4630
N: 0.4079 0.1510 0.6446
O: 0.0634 0.6526 0.8855
O: 0.2380 0.6595 0.5934
O: 0.2830 0.5331 0.3863